Record 1
Diffraction record for Hg3H4Pd4. The XRD peak list is computed, not measured: it uses a crystal structure in Alexandria, relaxed with GGA-PBE and Cu Kα (weighted mean of Kα1 and Kα2).
Neutral-atom scattering factors, no anomalous dispersion.

Crystal structure
abc: 7.663 7.663 7.419
angles: 115.82 115.82 22.29
Positions (direct):
Hg 0.000 0.000 0.000
Hg 0.126 0.126 0.740
Hg 0.874 0.874 0.260
H 0.285 0.285 0.841
H 0.322 0.322 0.588
H 0.678 0.678 0.412
H 0.715 0.715 0.159
Pd 0.210 0.210 0.293
Pd 0.450 0.450 0.641
Pd 0.550 0.550 0.359
Pd 0.790 0.790 0.707

Top 10 peaks for 2θ = 10–80°, in order of rising 2θ:
Position (°2θ), d_spacing, I_rel
13.1, 6.737, 25
22.6, 3.938, 27
26.8, 3.324, 29
30.9, 2.893, 24
35.0, 2.564, 49
36.1, 2.489, 77
36.6, 2.453, 26
39.8, 2.267, 100
42.0, 2.152, 80
62.7, 1.481, 24



Record 2
Diffraction record for Hf4Sc2P3N2. The XRD peak list is computed, not measured: it uses a crystal structure in Alexandria, relaxed with GGA-PBE and Cu Kα (weighted mean of Kα1 and Kα2).
Neutral-atom scattering factors, no anomalous dispersion.

Crystal structure
abc: 11.009 11.009 11.009
angles: 157.96 157.96 31.37
Positions (direct):
Hf 0.077 0.577 0.500
Hf 0.423 0.923 0.500
Hf 0.577 0.077 0.500
Hf 0.923 0.423 0.500
Sc 0.199 0.199 0.000
Sc 0.801 0.801 0.000
P 0.325 0.325 0.000
P 0.500 0.500 0.000
P 0.675 0.675 0.000
N 0.101 0.101 0.000
N 0.899 0.899 0.000

Top 10 peaks for 2θ = 10–80°, in order of rising 2θ:
Position (°2θ), d_spacing, I_rel
25.2, 3.533, 45
30.0, 2.976, 41
31.2, 2.865, 67
33.8, 2.650, 23
39.6, 2.276, 100
43.0, 2.104, 53
45.9, 1.979, 21
50.5, 1.808, 28
55.8, 1.648, 22
76.5, 1.245, 30



Record 3
Diffraction record for SmBi2Rh2. The XRD peak list is computed, not measured: it uses a crystal structure in Alexandria, relaxed with GGA-PBE and Cu Kα (weighted mean of Kα1 and Kα2).
Neutral-atom scattering factors, no anomalous dispersion.

Crystal structure
abc: 4.783 4.749 10.624
angles: 90.00 94.04 90.00
Positions (direct):
Sm 0.183 0.250 0.168
Sm 0.817 0.750 0.832
Bi 0.251 0.250 0.494
Bi 0.301 0.250 0.813
Bi 0.699 0.750 0.187
Bi 0.749 0.750 0.506
Rh 0.225 0.750 0.345
Rh 0.349 0.750 0.962
Rh 0.651 0.250 0.038
Rh 0.775 0.250 0.655

Top 10 peaks for 2θ = 10–80°, in order of rising 2θ:
Position (°2θ), d_spacing, I_rel
24.2, 3.677, 9
25.2, 3.533, 25
26.5, 3.366, 34
35.9, 2.500, 50
37.7, 2.386, 21
37.8, 2.377, 100
42.4, 2.134, 10
51.8, 1.766, 9
54.5, 1.683, 15
68.4, 1.372, 12



Record 4
Diffraction record for BaTc2Os2. The XRD peak list is computed, not measured: it uses a crystal structure in Alexandria, relaxed with GGA-PBE and Cu Kα (weighted mean of Kα1 and Kα2).
Neutral-atom scattering factors, no anomalous dispersion.

Crystal structure
abc: 6.176 6.176 6.176
angles: 138.40 138.40 60.29
Positions (direct):
Ba 0.000 0.000 0.000
Tc 0.368 0.368 0.000
Tc 0.632 0.632 0.000
Os 0.250 0.750 0.500
Os 0.750 0.250 0.500

Top 10 peaks for 2θ = 10–80°, in order of rising 2θ:
Position (°2θ), d_spacing, I_rel
16.6, 5.340, 38
32.4, 2.764, 39
33.4, 2.682, 100
41.2, 2.193, 59
44.8, 2.024, 36
53.3, 1.718, 19
59.6, 1.551, 20
59.9, 1.544, 25
70.1, 1.342, 29
77.6, 1.231, 14



Record 5
Diffraction record for Fe7Rh6. The XRD peak list is computed, not measured: it uses a crystal structure in Alexandria, relaxed with GGA-PBE and Cu Kα (weighted mean of Kα1 and Kα2).
Neutral-atom scattering factors, no anomalous dispersion.

Crystal structure
abc: 9.040 9.040 9.040
angles: 30.44 30.44 30.44
Positions (direct):
Fe 0.000 0.000 0.000
Fe 0.091 0.091 0.588
Fe 0.091 0.588 0.091
Fe 0.412 0.909 0.909
Fe 0.588 0.091 0.091
Fe 0.909 0.412 0.909
Fe 0.909 0.909 0.412
Rh 0.168 0.168 0.168
Rh 0.348 0.348 0.348
Rh 0.452 0.452 0.452
Rh 0.548 0.548 0.548
Rh 0.652 0.652 0.652
Rh 0.832 0.832 0.832

Top 10 peaks for 2θ = 10–80°, in order of rising 2θ:
Position (°2θ), d_spacing, I_rel
37.9, 2.373, 92
41.3, 2.188, 65
43.5, 2.079, 100
44.2, 2.049, 37
44.4, 2.040, 63
46.4, 1.958, 19
47.6, 1.910, 31
70.8, 1.332, 25
72.4, 1.306, 21
73.0, 1.296, 27